(1)
Simulated powder XRD pattern
Compound: LiTlAsBr2
Radiation: Cu Kα
Structure: the GGA-PBE geometry in Alexandria
No peak broadening, texture or thermal motion is included.

Structure:
a = 5.2451 Å, b = 5.6711 Å, c = 6.0278 Å
α = 63.93°, β = 64.32°, γ = 89.98°
Space group P1 (No. 1)
Unique sites:
Li  0.0000  0.0000  0.0000
Tl  0.5792  0.5367  0.8341
As  0.5821  0.0347  0.8344
Br  0.3049  0.7600  0.3836
Br  0.8803  0.3207  0.2352

Peak list (8 most intense, 2θ from 5° to 70°, in order of rising 2θ)
Position (°2θ)  d (Å)  I_rel  (hkl)
19.34  4.590  100.0  1 0 1
29.49  3.029  49.7  1 -1 1
30.29  2.950  42.9  1 1 2
31.58  2.833  54.4  0 2 1
33.04  2.711  35.7  1 0 -1
33.11  2.705  35.2  1 0 2
34.19  2.623  44.4  2 0 1
47.22  1.925  62.9  2 2 2

---

(2)
Simulated powder XRD pattern
Compound: Cu10PPd6
Radiation: Cu Kα
Structure: the GGA-PBE geometry in Alexandria
No peak broadening, texture or thermal motion is included.

Structure:
a = 7.4687 Å, b = 7.4687 Å, c = 4.8968 Å
α = 90.00°, β = 90.00°, γ = 120.00°
Space group P-31m (No. 162)
Unique sites:
Cu  0.0000  0.2550  0.2679
Cu  0.3333  0.6667  0.0000
Cu  0.3333  0.6667  0.5000
P  0.0000  0.0000  0.0000
Pd  0.0000  0.3941  0.7541

Peak list (8 most intense, 2θ from 5° to 70°, in order of rising 2θ)
Position (°2θ)  d (Å)  I_rel  (hkl)
30.10  2.969  15.9  1 1 1
36.73  2.447  39.1  0 0 2
41.28  2.187  100.0  3 -1 1
41.90  2.156  61.3  3 0 0
44.24  2.048  76.9  1 1 2
54.47  1.684  29.9  3 1 1
62.56  1.485  13.6  4 -2 2
69.21  1.357  19.1  3 -1 3

---

(3)
Simulated powder XRD pattern
Compound: Th2S2N
Radiation: Cu Kα
Structure: the GGA-PBE geometry in Alexandria
No peak broadening, texture or thermal motion is included.

Structure:
a = 3.9277 Å, b = 15.3884 Å, c = 7.2552 Å
α = 90.00°, β = 90.00°, γ = 90.00°
Space group Cmc2_1 (No. 36)
Unique sites:
Th  0.0000  0.0484  0.0000
Th  0.0000  0.3310  0.8964
S  0.0000  0.2997  0.5121
S  0.0000  0.4467  0.1921
N  0.0000  0.0931  0.3291

Peak list (8 most intense, 2θ from 5° to 70°, in order of rising 2θ)
Position (°2θ)  d (Å)  I_rel  (hkl)
24.54  3.628  57.5  0 0 2
26.22  3.399  100.0  0 4 1
26.45  3.370  74.0  1 1 1
28.63  3.118  88.4  1 3 0
31.22  2.865  41.3  1 3 1
38.05  2.365  65.6  1 3 2
49.13  1.855  40.9  1 7 1
53.93  1.700  36.3  2 4 1

---

(4)
Simulated powder XRD pattern
Compound: ErTl3Ga3I8
Radiation: Cu Kα
Structure: the GGA-PBE geometry in Alexandria
No peak broadening, texture or thermal motion is included.

Structure:
a = 9.2164 Å, b = 9.2401 Å, c = 10.1949 Å
α = 63.27°, β = 63.17°, γ = 60.14°
Space group P-1 (No. 2)
Unique sites:
Er  0.0000  0.0000  0.0000
Tl  0.0000  0.0000  0.5000
Tl  0.0000  0.5000  0.5000
Tl  0.5000  0.0000  0.5000
Ga  0.0000  0.5000  0.0000
Ga  0.5000  0.0000  0.0000
Ga  0.5000  0.5000  0.0000
I  0.2219  0.2215  0.7948
I  0.2217  0.7616  0.7947
I  0.2382  0.7786  0.2053
I  0.2578  0.2582  0.2265

Peak list (8 most intense, 2θ from 5° to 70°, in order of rising 2θ)
Position (°2θ)  d (Å)  I_rel  (hkl)
11.57  7.647  25.9  1 1 1
26.13  3.410  100.0  2 2 0
35.42  2.534  12.6  0 2 -2
35.54  2.526  25.0  2 2 4
38.98  2.311  23.4  2 4 2
39.09  2.304  11.6  4 2 2
47.63  1.909  12.4  4 4 4
53.77  1.705  10.9  0 4 4

---

(5)
Simulated powder XRD pattern
Compound: Ba2HgPtAu
Radiation: Cu Kα
Structure: the GGA-PBE geometry in Alexandria
No peak broadening, texture or thermal motion is included.

Structure:
a = 8.9896 Å, b = 4.8164 Å, c = 9.1273 Å
α = 90.00°, β = 119.31°, γ = 90.00°
Space group P2_1/m (No. 11)
Unique sites:
Ba  0.0940  0.2500  0.2355
Ba  0.3586  0.7500  0.7630
Hg  0.3211  0.7500  0.1416
Pt  0.2236  0.2500  0.9460
Au  0.0486  0.2500  0.5969

Peak list (8 most intense, 2θ from 5° to 70°, in order of rising 2θ)
Position (°2θ)  d (Å)  I_rel  (hkl)
11.12  7.959  19.3  0 0 1
11.30  7.827  33.7  1 0 -1
19.75  4.495  21.1  2 0 -1
29.41  3.037  100.0  2 1 -2
35.24  2.547  41.9  1 1 2
37.34  2.408  28.4  0 2 0
38.75  2.324  34.5  0 1 3
40.12  2.247  21.0  4 0 -2

---

(6)
Simulated powder XRD pattern
Compound: CaMg2Tl7
Radiation: Cu Kα
Structure: the GGA-PBE geometry in Alexandria
No peak broadening, texture or thermal motion is included.

Structure:
a = 8.7065 Å, b = 15.4876 Å, c = 5.0576 Å
α = 90.00°, β = 90.00°, γ = 90.00°
Space group Cmmm (No. 65)
Unique sites:
Ca  0.0000  0.0000  0.0000
Mg  0.0000  0.3070  0.5000
Tl  0.0000  0.2202  0.0000
Tl  0.0000  0.5000  0.5000
Tl  0.1858  0.1187  0.5000

Peak list (8 most intense, 2θ from 5° to 70°, in order of rising 2θ)
Position (°2θ)  d (Å)  I_rel  (hkl)
17.54  5.058  39.1  0 0 1
20.00  4.441  41.3  1 3 0
20.98  4.234  42.1  0 2 1
27.03  3.299  41.9  2 0 1
29.04  3.074  53.3  0 4 1
30.91  2.893  63.9  2 4 0
35.51  2.528  100.0  0 0 2
36.15  2.485  55.8  3 1 1

---

(7)
Simulated powder XRD pattern
Compound: ScB2Ru3
Radiation: Cu Kα
Structure: the GGA-PBE geometry in Alexandria
No peak broadening, texture or thermal motion is included.

Structure:
a = 5.7320 Å, b = 4.6920 Å, c = 6.0572 Å
α = 90.00°, β = 109.80°, γ = 90.00°
Space group P2_1/m (No. 11)
Unique sites:
Sc  0.1172  0.2500  0.1776
B  0.2556  0.5627  0.5512
Ru  0.0796  0.2500  0.6897
Ru  0.4287  0.7500  0.8875
Ru  0.4542  0.7500  0.3325

Peak list (8 most intense, 2θ from 5° to 70°, in order of rising 2θ)
Position (°2θ)  d (Å)  I_rel  (hkl)
16.44  5.393  20.6  1 0 0
24.58  3.622  19.5  0 1 1
33.22  2.696  29.5  2 0 0
36.91  2.436  100.0  0 1 2
38.37  2.346  61.3  0 2 0
38.51  2.338  74.2  2 1 0
42.19  2.142  66.3  2 1 -2
51.65  1.770  23.9  2 2 0

---

(8)
Simulated powder XRD pattern
Compound: BaHgAu2
Radiation: Cu Kα
Structure: the GGA-PBE geometry in Alexandria
No peak broadening, texture or thermal motion is included.

Structure:
a = 4.7365 Å, b = 4.7365 Å, c = 21.7971 Å
α = 90.00°, β = 90.00°, γ = 90.00°
Space group P4_1 (No. 76)
Unique sites:
Ba  0.1149  0.8813  0.0000
Hg  0.3229  0.3764  0.8400
Au  0.1251  0.5926  0.1396
Au  0.3713  0.6224  0.4593

Peak list (8 most intense, 2θ from 5° to 70°, in order of rising 2θ)
Position (°2θ)  d (Å)  I_rel  (hkl)
18.73  4.737  39.7  1 0 0
20.44  4.344  38.5  1 0 2
27.86  3.203  73.3  1 1 2
29.36  3.042  60.0  1 1 3
34.47  2.602  61.0  1 0 7
38.10  2.362  40.5  1 0 8
38.23  2.354  100.0  2 0 1
49.84  1.830  40.3  2 1 6

---

(9)
Simulated powder XRD pattern
Compound: CsPu2PbCl8
Radiation: Cu Kα
Structure: the GGA-PBE geometry in Alexandria
No peak broadening, texture or thermal motion is included.

Structure:
a = 6.8035 Å, b = 8.8672 Å, c = 7.0460 Å
α = 90.00°, β = 91.16°, γ = 90.00°
Space group P2/m (No. 10)
Unique sites:
Cs  0.0000  0.0000  0.0000
Pu  0.5000  0.2547  0.5000
Pb  0.0000  0.5000  0.0000
Cl  0.2632  0.2836  0.1792
Cl  0.2763  0.5000  0.6540
Cl  0.2822  0.0000  0.6114

Peak list (8 most intense, 2θ from 5° to 70°, in order of rising 2θ)
Position (°2θ)  d (Å)  I_rel  (hkl)
17.94  4.943  100.0  1 0 -1
18.31  4.845  83.1  1 0 1
23.71  3.752  59.7  0 2 1
23.96  3.714  88.1  1 2 0
34.91  2.570  38.1  1 2 -2
35.43  2.534  53.2  2 2 -1
35.82  2.507  40.7  2 2 1
44.86  2.021  37.3  3 2 0

---

(10)
Simulated powder XRD pattern
Compound: CaFe3Cl12
Radiation: Cu Kα
Structure: the GGA-PBE geometry in Alexandria
No peak broadening, texture or thermal motion is included.

Structure:
a = 10.8688 Å, b = 10.8688 Å, c = 32.4639 Å
α = 90.00°, β = 90.00°, γ = 120.00°
Space group R3c (No. 161, hexagonal axes)
Unique sites:
Ca  0.0000  0.0000  0.0000
Fe  0.0538  0.3654  0.0602
Cl  0.1869  0.4126  0.0068
Cl  0.1957  0.4273  0.1153
Cl  0.2035  0.4483  0.7258
Cl  0.2040  0.4119  0.3968

Peak list (8 most intense, 2θ from 5° to 70°, in order of rising 2θ)
Position (°2θ)  d (Å)  I_rel  (hkl)
10.87  8.143  65.6  0 1 2
16.37  5.416  69.7  0 0 6
18.27  4.856  100.0  1 1 3
23.20  3.834  24.9  1 1 6
28.45  3.138  70.1  3 0 0
33.51  2.674  39.9  0 2 10
37.50  2.398  23.4  2 1 10
47.71  1.906  22.0  2 3 8

---

(11)
Simulated powder XRD pattern
Compound: Tb4Pm9Tl11
Radiation: Cu Kα
Structure: the GGA-PBE geometry in Alexandria
No peak broadening, texture or thermal motion is included.

Structure:
a = 17.9713 Å, b = 21.5324 Å, c = 3.6066 Å
α = 90.00°, β = 90.00°, γ = 90.00°
Space group Cmmm (No. 65)
Unique sites:
Tb  0.1523  0.0837  0.0000
Pm  0.0000  0.0000  0.0000
Pm  0.1174  0.2404  0.0000
Pm  0.1194  0.4124  0.0000
Tl  0.0000  0.1359  0.5000
Tl  0.0000  0.3284  0.5000
Tl  0.0000  0.5000  0.5000
Tl  0.2366  0.5000  0.5000
Tl  0.2425  0.3261  0.5000

Peak list (8 most intense, 2θ from 5° to 70°, in order of rising 2θ)
Position (°2θ)  d (Å)  I_rel  (hkl)
31.87  2.808  100.0  4 0 1
32.76  2.734  9.3  1 5 1
35.28  2.544  36.9  0 6 1
40.14  2.246  11.9  8 0 0
50.62  1.803  9.0  0 0 2
54.49  1.684  13.4  8 6 1
61.10  1.517  15.9  4 6 2
61.28  1.513  8.4  4 12 1

---

(12)
Simulated powder XRD pattern
Compound: Nd2BeO5
Radiation: Cu Kα
Structure: the GGA-PBE geometry in Alexandria
No peak broadening, texture or thermal motion is included.

Structure:
a = 5.4028 Å, b = 5.4028 Å, c = 6.7341 Å
α = 90.00°, β = 90.00°, γ = 90.00°
Space group I4mm (No. 107)
Unique sites:
Nd  0.0000  0.5000  0.0000
Be  0.0000  0.0000  0.2308
O  0.0000  0.0000  0.9932
O  0.2283  0.2283  0.2739

Peak list (8 most intense, 2θ from 5° to 70°, in order of rising 2θ)
Position (°2θ)  d (Å)  I_rel  (hkl)
23.28  3.820  100.0  1 1 0
26.47  3.367  28.7  0 0 2
33.16  2.701  35.9  2 0 0
35.54  2.526  76.4  1 1 2
42.92  2.107  73.5  2 0 2
47.61  1.910  28.5  2 2 0
53.64  1.709  22.3  3 1 0
60.79  1.524  32.0  3 1 2